For LaSbPd3, a cell relaxed with PBE gives the computed powder diffractogram in this record (Cu Kα X-rays).

Most intense lines, 2θ from 10° to 90°, in order of falling intensity:
h k l  Position (°2θ)  intensity
1 2 3  40.02  100
1 2 1  28.72  86
2 0 2  37.64  74
0 3 1  34.27  50
0 0 4  38.95  44
0 4 0  44.30  37
2 2 2  43.86  34
2 2 0  39.06  34
2 1 1  35.33  33
4 0 0  67.05  29

Structure:
a = 5.5837 Å, b = 8.1833 Å, c = 9.2483 Å
α = 90.00°, β = 90.00°, γ = 90.00°
Space group Imma (No. 74)
Symmetry-distinct sites (fractional):
La1 0.0000 0.2500 0.0019 x4
Sb1 0.0000 0.0000 0.5000 x4
Pd1 0.0000 0.2500 0.6833 x4
Pd2 0.2500 0.0576 0.2500 x8

For Ag8PdAu4, a cell relaxed with PBE gives the computed powder diffractogram in this record (Cu Kα X-rays).

Most intense lines, 2θ from 10° to 90°, in order of falling intensity:
h k l  Position (°2θ)  intensity
2 2 0  39.63  100
1 1 1  23.96  35
4 2 2  71.91  33
3 1 1  46.84  18
4 0 0  57.29  17
4 4 0  85.37  11
3 3 1  62.99  8
5 1 1  77.03  6
1 1 0  19.52  2
2 1 0  31.09  2

Structure:
a = 6.4326 Å, b = 6.4326 Å, c = 6.4326 Å
α = 90.00°, β = 90.00°, γ = 90.00°
Space group Pm-3m (No. 221)
Symmetry-distinct sites (fractional):
Ag1 0.2459 0.2459 0.2459 x8
Pd1 0.5000 0.5000 0.5000 x1
Au1 0.0000 0.0000 0.0000 x1
Au2 0.0000 0.5000 0.5000 x3

For Li2Ca2PmPb2, a cell relaxed with PBE gives the computed powder diffractogram in this record (Cu Kα X-rays).

Most intense lines, 2θ from 10° to 90°, in order of falling intensity:
h k l  Position (°2θ)  intensity
1 0 4  24.44  100
1 1 0  36.48  81
0 1 8  33.14  74
1 0 7  30.66  63
0 1 2  21.78  45
1 1 15  62.49  32
2 0 8  50.10  23
1 2 8  63.54  22
0 1 11  41.35  22
0 2 4  44.40  22

Structure:
a = 4.9265 Å, b = 4.9265 Å, c = 27.9562 Å
α = 90.00°, β = 90.00°, γ = 120.00°
Space group R-3m (No. 166, hexagonal axes)
Symmetry-distinct sites (fractional):
Li1 0.0000 0.0000 0.1001 x6
Ca1 0.0000 0.0000 0.3714 x6
Pm1 0.0000 0.0000 0.5000 x3
Pb1 0.0000 0.0000 0.2360 x6